No. 1
# Cs2TiAuCl6
Calculated powder diffraction line list, a wavelength of 1.5418 Å. Input: DFT lattice parameters and positions (GGA-PBE).

Peak list (12 most intense, 2θ = 15–90°, sorted by position)
- 22.2 deg, rel. 62.6
- 24.0 deg, rel. 100.0
- 26.5 deg, rel. 27.7
- 31.6 deg, rel. 62.2
- 36.7 deg, rel. 22.1
- 40.1 deg, rel. 47.0
- 43.3 deg, rel. 21.8
- 45.3 deg, rel. 20.1
- 49.2 deg, rel. 33.7
- 51.0 deg, rel. 16.9
- 59.7 deg, rel. 17.1
- 62.1 deg, rel. 16.7

Structure:
```
Cs2TiAuCl6
1.0
-4.004 4.004 4.893
4.004 -4.004 4.893
4.004 4.004 -4.893
Cs Ti Au Cl
2 1 1 6
Cartesian
4.004 0.000 2.446 Cs
0.000 4.004 2.446 Cs
0.000 0.000 0.000 Ti
0.000 0.000 4.893 Au
1.699 1.699 0.000 Cl
2.305 -2.305 4.893 Cl
0.000 0.000 2.556 Cl
0.000 0.000 7.230 Cl
-2.305 2.305 4.893 Cl
2.305 2.305 4.893 Cl
```



No. 2
# NpGa3Au5
Calculated powder diffraction line list, a wavelength of 1.5418 Å. Input: DFT lattice parameters and positions (GGA-PBE).

Peak list (12 most intense, 2θ = 15–90°, sorted by position)
- 21.1 deg, rel. 17.7
- 31.0 deg, rel. 38.8
- 33.5 deg, rel. 65.2
- 34.4 deg, rel. 27.3
- 34.8 deg, rel. 24.7
- 36.2 deg, rel. 100.0
- 36.7 deg, rel. 20.3
- 38.5 deg, rel. 32.5
- 39.4 deg, rel. 21.0
- 41.3 deg, rel. 47.8
- 44.9 deg, rel. 16.3
- 58.0 deg, rel. 35.6

Structure:
```
NpGa3Au5
1.0
1.589 -6.855 0.000
1.589 6.855 0.000
0.000 0.000 15.967
Np Ga Au
2 6 10
Cartesian
1.589 4.063 11.975 Np
1.589 -4.063 3.992 Np
1.589 5.651 3.992 Ga
1.589 2.172 0.568 Ga
1.589 2.172 7.415 Ga
1.589 -2.172 8.551 Ga
1.589 -2.172 15.399 Ga
1.589 -5.651 11.975 Ga
0.000 0.000 0.000 Au
0.000 0.000 7.983 Au
1.589 4.479 1.691 Au
1.589 4.479 6.292 Au
1.589 0.436 2.531 Au
1.589 0.436 5.452 Au
1.589 -0.436 10.514 Au
1.589 -0.436 13.436 Au
1.589 -4.479 9.674 Au
1.589 -4.479 14.276 Au
```



No. 3
# Sb3Os5
Calculated powder diffraction line list, a wavelength of 1.5418 Å. Input: DFT lattice parameters and positions (GGA-PBE).

Peak list (12 most intense, 2θ = 15–90°, sorted by position)
- 32.1 deg, rel. 14.3
- 34.9 deg, rel. 38.4
- 35.9 deg, rel. 44.5
- 39.5 deg, rel. 100.0
- 40.0 deg, rel. 47.6
- 49.7 deg, rel. 13.3
- 50.5 deg, rel. 23.6
- 58.6 deg, rel. 19.2
- 62.2 deg, rel. 26.4
- 64.6 deg, rel. 14.0
- 70.7 deg, rel. 12.4
- 80.3 deg, rel. 25.2

Structure:
```
Sb3Os5
1.0
7.637 0.000 0.000
-3.819 6.614 0.000
0.000 0.000 5.578
Sb Os
6 10
Cartesian
-1.556 2.695 1.394 Sb
-2.263 3.919 4.183 Sb
3.112 0.000 1.394 Sb
1.556 2.695 4.183 Sb
4.525 0.000 4.183 Sb
2.263 3.919 1.394 Sb
-0.754 1.305 4.183 Os
-3.065 5.309 1.394 Os
1.507 0.000 4.183 Os
0.754 1.305 1.394 Os
0.000 4.409 0.000 Os
0.000 4.409 2.789 Os
3.819 2.205 0.000 Os
3.819 2.205 2.789 Os
6.130 0.000 1.394 Os
3.065 5.309 4.183 Os
```



No. 4
# Rb3Ag2Sn9
Calculated powder diffraction line list, a wavelength of 1.5418 Å. Input: DFT lattice parameters and positions (GGA-PBE).

Peak list (12 most intense, 2θ = 15–90°, sorted by position)
- 16.8 deg, rel. 39.8
- 27.6 deg, rel. 25.1
- 28.6 deg, rel. 55.8
- 29.6 deg, rel. 99.3
- 31.5 deg, rel. 100.0
- 34.0 deg, rel. 64.7
- 37.0 deg, rel. 79.6
- 37.6 deg, rel. 43.3
- 45.0 deg, rel. 38.8
- 48.2 deg, rel. 41.5
- 49.5 deg, rel. 48.1
- 52.5 deg, rel. 25.2

Structure:
```
Rb3Ag2Sn9
1.0
7.366 0.000 0.000
-3.683 6.379 0.000
0.000 0.000 18.745
Rb Ag Sn
6 4 18
Cartesian
0.000 0.000 4.686 Rb
0.000 0.000 14.058 Rb
0.000 4.253 1.400 Rb
0.000 4.253 7.972 Rb
3.683 2.126 10.773 Rb
3.683 2.126 17.344 Rb
0.000 4.253 12.331 Ag
0.000 4.253 15.786 Ag
3.683 2.126 2.959 Ag
3.683 2.126 6.414 Ag
-1.538 3.365 4.686 Sn
0.000 1.773 10.727 Sn
0.000 1.773 17.390 Sn
-2.148 5.493 10.727 Sn
-2.148 5.493 17.390 Sn
1.535 0.886 1.355 Sn
1.535 0.886 8.017 Sn
1.538 3.365 4.686 Sn
0.000 6.029 4.686 Sn
3.683 0.350 14.058 Sn
2.145 3.014 14.058 Sn
2.148 5.493 10.727 Sn
2.148 5.493 17.390 Sn
5.831 0.886 1.355 Sn
5.831 0.886 8.017 Sn
3.683 4.606 1.355 Sn
3.683 4.606 8.017 Sn
5.221 3.014 14.058 Sn
```



- Number 2 is which compound?
  NpGa3Au5



Repeat the third record exactly.
# Sb3Os5
Calculated powder diffraction line list, a wavelength of 1.5418 Å. Input: DFT lattice parameters and positions (GGA-PBE).

Peak list (12 most intense, 2θ = 15–90°, sorted by position)
- 32.1 deg, rel. 14.3
- 34.9 deg, rel. 38.4
- 35.9 deg, rel. 44.5
- 39.5 deg, rel. 100.0
- 40.0 deg, rel. 47.6
- 49.7 deg, rel. 13.3
- 50.5 deg, rel. 23.6
- 58.6 deg, rel. 19.2
- 62.2 deg, rel. 26.4
- 64.6 deg, rel. 14.0
- 70.7 deg, rel. 12.4
- 80.3 deg, rel. 25.2

Structure:
```
Sb3Os5
1.0
7.637 0.000 0.000
-3.819 6.614 0.000
0.000 0.000 5.578
Sb Os
6 10
Cartesian
-1.556 2.695 1.394 Sb
-2.263 3.919 4.183 Sb
3.112 0.000 1.394 Sb
1.556 2.695 4.183 Sb
4.525 0.000 4.183 Sb
2.263 3.919 1.394 Sb
-0.754 1.305 4.183 Os
-3.065 5.309 1.394 Os
1.507 0.000 4.183 Os
0.754 1.305 1.394 Os
0.000 4.409 0.000 Os
0.000 4.409 2.789 Os
3.819 2.205 0.000 Os
3.819 2.205 2.789 Os
6.130 0.000 1.394 Os
3.065 5.309 4.183 Os
```